Entry 1:
The following is a computed X-ray diffraction stick pattern of Tb3PmAl8. It was derived from a crystal structure in Alexandria, relaxed with GGA-PBE, using Cu Kα.

Principal peaks in the range 2θ from 15° to 90°, by angle:
19.4°, I = 83, (0 1 2); 31.9°, I = 67, (0 1 8); 32.0°, I = 67, (1 1 0); 37.7°, I = 100, (1 0 10); 37.7°, I = 33, (2 0 2); 57.0°, I = 39, (3 0 0); 60.8°, I = 25, (2 1 10); 60.9°, I = 16, (3 0 6); 66.7°, I = 14, (0 2 16); 67.0°, I = 14, (2 2 0)

Structure:
```
data_Tb3PmAl8
_cell_length_a 5.5901
_cell_length_b 5.5901
_cell_length_c 27.5131
_cell_angle_alpha 90.00
_cell_angle_beta 90.00
_cell_angle_gamma 120.00
_space_group_name_H-M_alt 'R 3 m'
_space_group_IT_number 160
_space_group_name_Hall 'R 3 -2"'
loop_
_atom_site_label
_atom_site_fract_x
_atom_site_fract_y
_atom_site_fract_z
_atom_site_occupancy
Tb1 0.0000 0.0000 0.0000 1
Tb2 0.0000 0.0000 0.1242 1
Tb3 0.0000 0.0000 0.6246 1
Pm1 0.0000 0.0000 0.4996 1
Al1 0.0000 0.0000 0.3123 1
Al2 0.0000 0.0000 0.8119 1
Al3 0.9995 0.4998 0.0616 1
Al4 0.0003 0.5001 0.5627 1
```

***

Entry 2:
The following is a computed X-ray diffraction stick pattern of MgTl2SeO6. It was derived from a crystal structure in Alexandria, relaxed with GGA-PBE, using Cu Kα.

Principal peaks in the range 2θ from 15° to 90°, by angle:
16.5°, I = 100, (0 0 1); 24.5°, I = 81, (0 1 1); 31.3°, I = 99, (1 1 0); 35.6°, I = 75, (1 1 1); 38.2°, I = 59, (1 0 2); 40.1°, I = 47, (2 0 1); 50.2°, I = 37, (0 2 2); 54.6°, I = 21, (1 0 3); 60.4°, I = 32, (2 1 2); 73.3°, I = 28, (2 1 3)

Structure:
```
data_MgTl2SeO6
_cell_length_a 5.7136
_cell_length_b 5.7136
_cell_length_c 5.3577
_cell_angle_alpha 90.00
_cell_angle_beta 90.00
_cell_angle_gamma 120.00
_space_group_name_H-M_alt 'P -3 m 1'
_space_group_IT_number 164
_space_group_name_Hall '-P 3 2"'
loop_
_atom_site_label
_atom_site_fract_x
_atom_site_fract_y
_atom_site_fract_z
_atom_site_occupancy
Mg1 0.0000 0.0000 0.0000 1
Tl1 0.3333 0.6667 0.3855 1
Se1 0.0000 0.0000 0.5000 1
O1 0.1471 0.2943 0.7081 1
```